Record 1
Theoretical powder XRD pattern of Y2Mg for CuKα, from a GGA-PBE-relaxed structure.

Atomic structure:
```
data_Y2Mg
_cell_length_a 12.6615
_cell_length_b 3.5823
_cell_length_c 8.0684
_cell_angle_alpha 90.00
_cell_angle_beta 105.02
_cell_angle_gamma 90.00
_space_group_name_H-M_alt 'C 1 2/m 1'
_space_group_IT_number 12
_space_group_name_Hall '-C 2y'
loop_
_atom_site_label
_atom_site_type_symbol
_atom_site_fract_x
_atom_site_fract_y
_atom_site_fract_z
_atom_site_occupancy
Y1 Y 0.1396 0.0000 0.0395 1
Y2 Y 0.1764 0.0000 0.6242 1
Mg1 Mg 0.0282 0.5000 0.2963 1
```

Principal peaks in the range 5° ≤ 2θ ≤ 70°, sorted by position:
hkl, Position (°2θ), d/Å, I/Imax
1 1 0, 25.9, 3.438, 29
4 0 0, 29.2, 3.061, 41
2 0 2, 30.2, 2.957, 38
4 0 -2, 32.2, 2.780, 62
3 1 0, 33.3, 2.691, 100
1 1 -2, 33.5, 2.676, 97
0 0 3, 34.5, 2.598, 28
3 1 3, 53.0, 1.727, 28

Record 2
Theoretical powder XRD pattern of Y2Mg for CuKα, from a GGA-PBE-relaxed structure.

Atomic structure:
```
data_Y2Mg
_cell_length_a 6.0015
_cell_length_b 6.0015
_cell_length_c 17.0719
_cell_angle_alpha 90.00
_cell_angle_beta 90.00
_cell_angle_gamma 120.00
_space_group_name_H-M_alt 'R 3 2'
_space_group_IT_number 155
_space_group_name_Hall 'R 3 2"'
loop_
_atom_site_label
_atom_site_type_symbol
_atom_site_fract_x
_atom_site_fract_y
_atom_site_fract_z
_atom_site_occupancy
Y1 Y 0.0000 0.0000 0.0000 1
Y2 Y 0.0000 0.6727 0.5000 1
Mg1 Mg 0.0000 0.0000 0.3332 1
```

Principal peaks in the range 5° ≤ 2θ ≤ 70°, sorted by position:
hkl, Position (°2θ), d/Å, I/Imax
1 1 0, 29.8, 3.001, 29
0 0 6, 31.4, 2.846, 28
1 1 3, 33.8, 2.654, 100
1 1 6, 43.8, 2.065, 21
3 0 0, 52.8, 1.732, 17
1 1 9, 57.5, 1.603, 21
3 0 6, 62.8, 1.480, 20
2 2 3, 64.2, 1.451, 15

Record 3
Theoretical powder XRD pattern of Y5Mg24 for CuKα, from a GGA-PBE-relaxed structure.

Atomic structure:
```
data_Y5Mg24
_cell_length_a 11.2775
_cell_length_b 11.2775
_cell_length_c 11.2775
_cell_angle_alpha 90.00
_cell_angle_beta 90.00
_cell_angle_gamma 90.00
_space_group_name_H-M_alt 'I -4 3 m'
_space_group_IT_number 217
_space_group_name_Hall 'I -4 2 3'
loop_
_atom_site_label
_atom_site_type_symbol
_atom_site_fract_x
_atom_site_fract_y
_atom_site_fract_z
_atom_site_occupancy
Y1 Y 0.0000 0.0000 0.0000 1
Y2 Y 0.1881 0.1881 0.8119 1
Mg1 Mg 0.0319 0.3562 0.3562 1
Mg2 Mg 0.0900 0.0900 0.2808 1
```

Principal peaks in the range 5° ≤ 2θ ≤ 70°, sorted by position:
hkl, Position (°2θ), d/Å, I/Imax
1 1 0, 11.1, 7.974, 13
2 1 1, 19.3, 4.604, 16
3 2 1, 29.6, 3.014, 16
3 3 0, 33.7, 2.658, 100
3 3 2, 37.4, 2.404, 12
4 2 2, 39.1, 2.302, 11
5 3 2, 49.8, 1.829, 13
7 2 1, 60.3, 1.535, 24

Record 4
Theoretical powder XRD pattern of Y5Mg for CuKα, from a GGA-PBE-relaxed structure.

Atomic structure:
```
data_Y5Mg
_cell_length_a 5.6330
_cell_length_b 3.5905
_cell_length_c 18.5936
_cell_angle_alpha 90.00
_cell_angle_beta 90.00
_cell_angle_gamma 90.00
_space_group_name_H-M_alt 'A m m 2'
_space_group_IT_number 38
_space_group_name_Hall 'A 2 -2'
loop_
_atom_site_label
_atom_site_type_symbol
_atom_site_fract_x
_atom_site_fract_y
_atom_site_fract_z
_atom_site_occupancy
Y1 Y 0.0000 0.0000 0.0000 1
Y2 Y 0.0000 0.0000 0.3303 1
Y3 Y 0.0000 0.0000 0.6626 1
Y4 Y 0.5000 0.0000 0.2173 1
Y5 Y 0.5000 0.0000 0.8851 1
Mg1 Mg 0.5000 0.0000 0.5531 1
```

Principal peaks in the range 5° ≤ 2θ ≤ 70°, sorted by position:
hkl, Position (°2θ), d/Å, I/Imax
0 0 6, 28.8, 3.104, 25
2 0 0, 31.8, 2.816, 24
1 1 3, 32.9, 2.719, 100
2 0 6, 43.4, 2.086, 16
0 1 9, 51.0, 1.791, 12
3 1 3, 57.4, 1.607, 20
2 1 9, 61.3, 1.511, 14
1 2 6, 62.0, 1.497, 10